Simulated powder XRD pattern of Li2Ni3WO8 for λ = 1.5418 Å (Cu Kα), from DFT lattice parameters and positions (PBE+U).

Crystal structure
```
data_Li2Ni3WO8
_cell_length_a 8.527
_cell_length_b 8.527
_cell_length_c 8.214
_cell_angle_alpha 90.00
_cell_angle_beta 90.00
_cell_angle_gamma 90.00
_symmetry_space_group_name_H-M 'P 43 21 2'
_symmetry_Int_Tables_number 96
loop_
_symmetry_equiv_pos_as_xyz
'x,y,z'
'-y+1/2,x+1/2,z+3/4'
'-x,-y,z+1/2'
'y+1/2,-x+1/2,z+1/4'
'x+1/2,-y+1/2,-z+1/4'
'-y,-x,-z+1/2'
'-x+1/2,y+1/2,-z+3/4'
'y,x,-z'
loop_
_atom_site_label
_atom_site_type_symbol
_atom_site_fract_x
_atom_site_fract_y
_atom_site_fract_z
_atom_site_occupancy
Li1 Li 0.001 0.257 0.380 1
Ni1 Ni 0.122 0.378 0.752 1
Ni2 Ni 0.131 0.869 0.250 1
W1 W 0.122 0.122 0.000 1
O1 O 0.105 0.631 0.272 1
O2 O 0.105 0.863 0.500 1
O3 O 0.123 0.356 0.987 1
O4 O 0.124 0.132 0.765 1
```

Peak list (10 most intense, 2θ = 15–90°, in order of falling intensity)
Position (°2θ)	Rel. int.	h k l
18.25	100	1 1 1
35.03	37	3 1 1
42.40	35	4 0 0
36.99	27	2 2 2
62.84	20	4 0 4
36.03	17	1 1 3
44.10	15	0 0 4
56.13	12	5 1 1
61.52	12	4 4 0
47.32	11	3 1 3